Record 1
# PrSm7Ho2
Calculated PXRD pattern, CuKα. Input: a structure optimized by DFT (GGA-PBE).
Lines closer than 0.1° are merged.

Principal peaks in the range 2θ = 15–90°, low angle first:
two_theta	I_rel
30.3	100
35.1	51
50.4	12
50.5	24
60.0	25
60.1	18
62.9	6
63.0	6
82.2	9
82.2	6
84.8	7
84.9	5

```
PrSm7Ho2
1.0
6.262 0.000 0.000
2.067 6.922 0.000
2.094 1.255 7.708
Pr Sm Ho
1 7 2
Direct
0.000 0.000 0.000 Pr
0.000 0.500 0.000 Sm
0.200 0.301 0.599 Sm
0.400 0.100 0.202 Sm
0.402 0.599 0.202 Sm
0.598 0.401 0.798 Sm
0.600 0.900 0.798 Sm
0.800 0.699 0.401 Sm
0.199 0.801 0.599 Ho
0.801 0.199 0.401 Ho
```

***

Record 2
# SmSn12Rh4
Calculated PXRD pattern, CuKα. Input: a structure optimized by DFT (GGA-PBE).
Lines closer than 0.1° are merged.

Principal peaks in the range 2θ = 15–90°, low angle first:
two_theta	I_rel
29.9	100
35.6	49
42.9	23
47.2	35
49.2	27
56.9	16
58.7	8
67.3	20
77.0	9
86.2	8
87.8	19
89.3	10

```
SmSn12Rh4
1.0
-4.718 4.718 4.718
4.718 -4.718 4.718
4.718 4.718 -4.718
Sm Sn Rh
1 12 4
Direct
0.000 0.000 0.000 Sm
0.161 0.338 0.499 Sn
0.161 0.662 0.823 Sn
0.177 0.839 0.338 Sn
0.338 0.177 0.839 Sn
0.338 0.499 0.161 Sn
0.499 0.161 0.338 Sn
0.501 0.839 0.662 Sn
0.662 0.501 0.839 Sn
0.662 0.823 0.161 Sn
0.823 0.161 0.662 Sn
0.839 0.338 0.177 Sn
0.839 0.662 0.501 Sn
0.000 0.000 0.500 Rh
0.000 0.500 0.000 Rh
0.500 0.000 0.000 Rh
0.500 0.500 0.500 Rh
```

***

Record 3
# ZnCdAs
Calculated PXRD pattern, CuKα. Input: a structure optimized by DFT (GGA-PBE).
Lines closer than 0.1° are merged.

Principal peaks in the range 2θ = 15–90°, low angle first:
two_theta	I_rel
28.4	100
34.2	50
34.4	24
39.9	10
41.9	10
44.2	81
44.7	15
44.9	29
53.4	11
57.2	10
74.9	10
81.3	13

```
ZnCdAs
1.0
3.549 -2.049 0.000
3.549 2.049 0.000
-2.317 0.000 9.031
Zn Cd As
2 2 2
Direct
0.200 0.200 0.094 Zn
0.800 0.800 0.906 Zn
0.369 0.369 0.607 Cd
0.631 0.631 0.393 Cd
0.099 0.099 0.803 As
0.901 0.901 0.197 As
```

***

Record 4
# LiCd2Hg7
Calculated PXRD pattern, CuKα. Input: a structure optimized by DFT (GGA-PBE).
Lines closer than 0.1° are merged.

Principal peaks in the range 2θ = 15–90°, low angle first:
two_theta	I_rel
21.3	11
25.5	68
29.9	30
35.3	96
37.3	100
45.7	15
52.3	31
60.4	13
66.0	31
67.3	18
77.8	11
79.6	12

```
LiCd2Hg7
1.0
4.819 0.000 0.000
-2.409 4.173 0.000
0.000 0.000 12.834
Li Cd Hg
1 2 7
Direct
0.000 0.000 0.000 Li
0.333 0.667 0.676 Cd
0.667 0.333 0.346 Cd
0.000 0.000 0.238 Hg
0.000 0.000 0.767 Hg
0.333 0.667 0.430 Hg
0.333 0.667 0.990 Hg
0.667 0.333 0.114 Hg
0.667 0.333 0.583 Hg
0.667 0.333 0.866 Hg
```

***

Record 5
# K2BeBr4
Calculated PXRD pattern, CuKα. Input: a structure optimized by DFT (GGA-PBE).
Lines closer than 0.1° are merged.

Principal peaks in the range 2θ = 15–90°, low angle first:
two_theta	I_rel
23.1	100
27.1	55
36.0	63
36.9	44
37.0	11
40.6	20
43.1	17
49.5	12
55.3	23
56.0	14
61.4	12
63.9	10

```
K2BeBr4
1.0
-3.854 3.854 5.431
3.854 -3.854 5.431
3.854 3.854 -5.431
K Be Br
2 1 4
Direct
0.250 0.750 0.500 K
0.750 0.250 0.500 K
0.000 0.000 0.000 Be
0.057 0.719 0.000 Br
0.281 0.281 0.338 Br
0.719 0.057 0.000 Br
0.943 0.943 0.662 Br
```

***

Record 6
# AcPr4S7
Calculated PXRD pattern, CuKα. Input: a structure optimized by DFT (GGA-PBE).
Lines closer than 0.1° are merged.

Principal peaks in the range 2θ = 15–90°, low angle first:
two_theta	I_rel
22.7	100
23.1	37
23.3	83
24.9	43
26.0	44
29.7	46
31.2	61
32.3	38
37.1	31
40.0	26
44.5	25
45.0	30

```
AcPr4S7
1.0
6.866 -2.013 0.000
6.866 2.013 0.000
-3.124 0.000 11.722
Ac Pr S
1 4 7
Direct
0.000 0.000 0.000 Ac
0.112 0.112 0.422 Pr
0.223 0.223 0.833 Pr
0.411 0.411 0.606 Pr
0.812 0.812 0.236 Pr
0.065 0.065 0.633 S
0.159 0.159 0.210 S
0.364 0.364 0.068 S
0.454 0.454 0.370 S
0.616 0.616 0.914 S
0.770 0.770 0.470 S
0.849 0.849 0.765 S
```

***

Q: Which formula does entry 5 have?
A: K2BeBr4